Entry 1:
Theoretical powder X-ray diffraction pattern of Na3LiSb2S6 for Cu Kα (weighted mean of Kα1 and Kα2), from a DFT-relaxed cell (GGA-PBE, Alexandria).
Lines closer than 0.1° are merged.

Structure:
Unit cell a=6.6285 b=11.4820 c=7.1040 alpha=90.00 beta=108.27 gamma=90.00
Space group C2/m (No. 12)
Unique sites:
1 Na 0.0000 0.0000 0.0000 [2 per cell]
2 Na 0.0000 0.3305 0.0000 [4 per cell]
3 Li 0.0000 0.5000 0.5000 [2 per cell]
4 Sb 0.0000 0.1666 0.5000 [4 per cell]
5 S 0.2364 0.0000 0.7239 [4 per cell]
6 S 0.2421 0.3314 0.7203 [8 per cell]

Most intense lines, 10° ≤ 2θ ≤ 80°, in order of rising 2θ:
h k l, 2θ (°), Rel. int.
0 0 1, 13.12, 49
1 1 0, 16.06, 20
1 3 1, 32.29, 100
2 0 2, 45.09, 35
0 6 0, 47.52, 35
4 0 0, 58.62, 17

Entry 2:
Theoretical powder X-ray diffraction pattern of Na3Li3SeS2 for Cu Kα (weighted mean of Kα1 and Kα2), from a DFT-relaxed cell (GGA-PBE, Alexandria).
Lines closer than 0.1° are merged.

Structure:
Unit cell a=6.7501 b=6.7501 c=4.1711 alpha=90.00 beta=90.00 gamma=120.00
Space group P-62m (No. 189)
Unique sites:
1 Na 0.0000 0.4314 0.0000 [3 per cell]
2 Li 0.0000 0.7350 0.5000 [3 per cell]
3 Se 0.0000 0.0000 0.0000 [1 per cell]
4 S 0.3333 0.6667 0.5000 [2 per cell]

Most intense lines, 10° ≤ 2θ ≤ 80°, in order of rising 2θ:
h k l, 2θ (°), Rel. int.
1 0 1, 26.25, 70
1 1 0, 26.41, 59
2 0 0, 30.59, 28
2 0 1, 37.58, 100
3 0 0, 46.55, 62
3 2 1, 74.31, 25